Entry 1:
Starting from DFT lattice parameters and positions (GGA-PBE), the X-ray diffraction stick pattern of Rb2Cd3Te4 was simulated for Cu Kα X-rays.

Cell and atoms:
```
Rb2Cd3Te4
1.0
7.4193 -7.8412 0.0000
7.4193 7.8412 0.0000
-5.7956 0.0000 11.8904
Rb Cd Te
8 12 16
direct
0.0000 0.0000 0.0000
0.0000 0.0000 0.5000
0.2447 0.2483 0.8629
0.2483 0.2447 0.3629
0.4978 0.5022 0.7500
0.5022 0.4978 0.2500
0.7517 0.7553 0.6371
0.7553 0.7517 0.1371
0.1116 0.5921 0.3013
0.1246 0.6486 0.5896
0.1410 0.6214 0.0435
0.3514 0.8754 0.9104
0.3786 0.8590 0.4565
0.4079 0.8884 0.1987
0.5921 0.1116 0.8013
0.6214 0.1410 0.5435
0.6486 0.1246 0.0896
0.8590 0.3786 0.9565
0.8754 0.3514 0.4104
0.8884 0.4079 0.6987
0.1059 0.3935 0.6207
0.1152 0.3853 0.1075
0.1170 0.8830 0.7500
0.1572 0.8428 0.2500
0.3421 0.6199 0.4979
0.3801 0.6579 0.0021
0.3853 0.1152 0.6075
0.3935 0.1059 0.1207
0.6065 0.8941 0.8793
0.6147 0.8848 0.3925
0.6199 0.3421 0.9979
0.6579 0.3801 0.5021
0.8428 0.1572 0.7500
0.8830 0.1170 0.2500
0.8848 0.6147 0.8925
0.8941 0.6065 0.3793
```

The 12 most intense peaks (2θ from 10° to 90°), most intense first:
- 2θ = 25.56°, intensity 100
- 2θ = 25.44°, intensity 87
- 2θ = 11.28°, intensity 55
- 2θ = 38.17°, intensity 40
- 2θ = 38.50°, intensity 40
- 2θ = 35.33°, intensity 38
- 2θ = 35.51°, intensity 37
- 2θ = 46.61°, intensity 37
- 2θ = 29.10°, intensity 33
- 2θ = 29.31°, intensity 30
- 2θ = 44.02°, intensity 29
- 2θ = 26.74°, intensity 29

---

Entry 2:
Starting from DFT lattice parameters and positions (GGA-PBE), the X-ray diffraction stick pattern of TbCdRh2 was simulated for Cu Kα X-rays.

Cell and atoms:
```
TbCdRh2
1.0
6.6670 0.0000 0.0000
0.0000 6.6670 0.0000
0.0000 0.0000 6.6670
Tb Cd Rh
4 4 8
direct
0.0000 0.0000 0.0000
0.0000 0.5000 0.5000
0.5000 0.0000 0.5000
0.5000 0.5000 0.0000
0.0000 0.0000 0.5000
0.0000 0.5000 0.0000
0.5000 0.0000 0.0000
0.5000 0.5000 0.5000
0.2500 0.2500 0.2500
0.2500 0.2500 0.7500
0.2500 0.7500 0.2500
0.2500 0.7500 0.7500
0.7500 0.2500 0.2500
0.7500 0.2500 0.7500
0.7500 0.7500 0.2500
0.7500 0.7500 0.7500
```

The 9 most intense peaks (2θ from 10° to 90°), most intense first:
- 2θ = 38.18°, intensity 100
- 2θ = 69.01°, intensity 34
- 2θ = 55.10°, intensity 17
- 2θ = 81.71°, intensity 11
- 2θ = 26.74°, intensity 2
- 2θ = 23.11°, intensity 2
- 2θ = 45.10°, intensity 1
- 2θ = 62.28°, intensity 1
- 2θ = 47.23°, intensity 1